Starting from a cell relaxed with GGA-PBE, the powder XRD pattern of CaTbH8Rh2 was simulated for Cu Kα X-rays.

Structure:
abc: 9.2378 9.2378 9.2378
angles: 25.38 25.38 25.38
Sites, in units of the cell vectors:
1 Ca 0.0000 0.0000 0.0000
2 Tb 0.5000 0.5000 0.5000
3 H 0.0214 0.0214 0.5904
4 H 0.0214 0.5904 0.0214
5 H 0.3104 0.3104 0.3104
6 H 0.4096 0.9786 0.9786
7 H 0.5904 0.0214 0.0214
8 H 0.6896 0.6896 0.6896
9 H 0.9786 0.4096 0.9786
10 H 0.9786 0.9786 0.4096
11 Rh 0.2447 0.2447 0.2447
12 Rh 0.7553 0.7553 0.7553

The 8 most intense peaks (2θ from 5° to 70°), sorted by position:
2θ (°), I (rel.)
9.90, 43
28.68, 100
37.07, 49
40.38, 12
44.65, 30
53.93, 17
59.38, 12
61.76, 21

***

Starting from a cell relaxed with GGA-PBE, the powder XRD pattern of Ca3H6Ru was simulated for Cu Kα X-rays.

Structure:
abc: 6.3178 6.3178 6.3178
angles: 91.64 91.64 91.64
Sites, in units of the cell vectors:
1 Ca 0.0441 0.5602 0.7509
2 Ca 0.2491 0.9559 0.4398
3 Ca 0.4398 0.2491 0.9559
4 Ca 0.5602 0.7509 0.0441
5 Ca 0.7509 0.0441 0.5602
6 Ca 0.9559 0.4398 0.2491
7 H 0.0459 0.9245 0.7363
8 H 0.0755 0.2637 0.9541
9 H 0.2395 0.5789 0.4397
10 H 0.2637 0.9541 0.0755
11 H 0.4211 0.5603 0.7605
12 H 0.4397 0.2395 0.5789
13 H 0.5603 0.7605 0.4211
14 H 0.5789 0.4397 0.2395
15 H 0.7363 0.0459 0.9245
16 H 0.7605 0.4211 0.5603
17 H 0.9245 0.7363 0.0459
18 H 0.9541 0.0755 0.2637
19 Ru 0.0000 0.0000 0.0000
20 Ru 0.5000 0.5000 0.5000

The 8 most intense peaks (2θ from 5° to 70°), sorted by position:
2θ (°), I (rel.)
19.59, 40
20.19, 39
28.28, 60
31.31, 43
34.28, 32
34.64, 100
35.69, 35
53.51, 28

***

Starting from a cell relaxed with GGA-PBE, the powder XRD pattern of CaHRu was simulated for Cu Kα X-rays.

Structure:
abc: 4.1583 10.8880 4.6479
angles: 90.00 90.00 90.00
Sites, in units of the cell vectors:
1 Ca 0.2500 0.1403 0.0000
2 Ca 0.2500 0.6403 0.5000
3 Ca 0.7500 0.3597 0.5000
4 Ca 0.7500 0.8597 0.0000
5 H 0.2500 0.3271 0.7560
6 H 0.2500 0.8271 0.2560
7 H 0.7500 0.1729 0.2560
8 H 0.7500 0.6729 0.7560
9 Ru 0.2500 0.4498 0.9802
10 Ru 0.2500 0.9498 0.4802
11 Ru 0.7500 0.0502 0.4802
12 Ru 0.7500 0.5502 0.9802

The 8 most intense peaks (2θ from 5° to 70°), sorted by position:
2θ (°), I (rel.)
16.28, 96
20.78, 100
29.98, 66
31.27, 67
38.19, 87
38.75, 40
39.57, 46
56.58, 32

***

Starting from a cell relaxed with GGA-PBE, the powder XRD pattern of CaHS was simulated for Cu Kα X-rays.

Structure:
abc: 3.9840 7.2514 6.8972
angles: 90.00 90.00 90.00
Sites, in units of the cell vectors:
1 Ca 0.0000 0.0000 0.0000
2 Ca 0.0000 0.5000 0.0117
3 Ca 0.5000 0.0000 0.5117
4 Ca 0.5000 0.5000 0.5000
5 H 0.0000 0.4462 0.6742
6 H 0.0000 0.5538 0.6742
7 H 0.5000 0.0538 0.1742
8 H 0.5000 0.9462 0.1742
9 S 0.0000 0.2507 0.3394
10 S 0.0000 0.7493 0.3394
11 S 0.5000 0.2493 0.8394
12 S 0.5000 0.7507 0.8394

The 8 most intense peaks (2θ from 5° to 70°), sorted by position:
2θ (°), I (rel.)
24.55, 1
25.83, 41
35.94, 100
45.55, 32
50.33, 8
53.10, 5
57.42, 8
59.34, 20

***

Starting from a cell relaxed with GGA-PBE, the powder XRD pattern of Ca2H2S was simulated for Cu Kα X-rays.

Structure:
abc: 3.6369 3.6369 11.8952
angles: 90.00 90.00 90.00
Sites, in units of the cell vectors:
1 Ca 0.0000 0.0000 0.1374
2 Ca 0.0000 0.0000 0.8626
3 Ca 0.5000 0.5000 0.3626
4 Ca 0.5000 0.5000 0.6374
5 H 0.0000 0.5000 0.2500
6 H 0.0000 0.5000 0.7500
7 H 0.5000 0.0000 0.2500
8 H 0.5000 0.0000 0.7500
9 S 0.0000 0.0000 0.5000
10 S 0.5000 0.5000 0.0000

The 8 most intense peaks (2θ from 5° to 70°), sorted by position:
2θ (°), I (rel.)
25.61, 8
33.43, 100
34.89, 53
45.56, 15
46.70, 8
50.17, 18
58.81, 8
61.64, 29

***

Starting from a cell relaxed with GGA-PBE, the powder XRD pattern of Ca6Sb3H2 was simulated for Cu Kα X-rays.

Structure:
abc: 12.9089 12.9089 12.9089
angles: 158.55 158.55 30.52
Sites, in units of the cell vectors:
1 Ca 0.0826 0.5826 0.5000
2 Ca 0.1991 0.1991 0.0000
3 Ca 0.4174 0.9174 0.5000
4 Ca 0.5826 0.0826 0.5000
5 Ca 0.8009 0.8009 0.0000
6 Ca 0.9174 0.4174 0.5000
7 Sb 0.3263 0.3263 0.0000
8 Sb 0.5000 0.5000 0.0000
9 Sb 0.6737 0.6737 0.0000
10 H 0.0997 0.0997 0.0000
11 H 0.9003 0.9003 0.0000

The 8 most intense peaks (2θ from 5° to 70°), sorted by position:
2θ (°), I (rel.)
18.81, 60
25.76, 28
26.23, 26
31.28, 24
34.10, 100
37.44, 53
53.98, 19
65.40, 28

***

Starting from a cell relaxed with GGA-PBE, the powder XRD pattern of Ca5Sb2H2 was simulated for Cu Kα X-rays.

Structure:
abc: 6.8363 6.8363 7.0737
angles: 103.26 103.26 44.29
Sites, in units of the cell vectors:
1 Ca 0.0000 0.0000 0.0000
2 Ca 0.1518 0.1518 0.5428
3 Ca 0.3328 0.3328 0.1187
4 Ca 0.6672 0.6672 0.8813
5 Ca 0.8482 0.8482 0.4572
6 Sb 0.4073 0.4073 0.7121
7 Sb 0.5927 0.5927 0.2879
8 H 0.1600 0.1600 0.8831
9 H 0.8400 0.8400 0.1169

The 8 most intense peaks (2θ from 5° to 70°), sorted by position:
2θ (°), I (rel.)
16.84, 28
18.67, 41
28.79, 40
30.67, 100
33.08, 74
34.82, 43
45.72, 55
58.69, 23

***

Starting from a cell relaxed with GGA-PBE, the powder XRD pattern of CaSbH was simulated for Cu Kα X-rays.

Structure:
abc: 4.0823 8.2081 8.1321
angles: 90.00 90.00 90.00
Sites, in units of the cell vectors:
1 Ca 0.0000 0.0000 0.0000
2 Ca 0.0000 0.0000 0.5000
3 Ca 0.5000 0.5000 0.0000
4 Ca 0.5000 0.5000 0.5000
5 Sb 0.0000 0.3099 0.2500
6 Sb 0.0000 0.6901 0.7500
7 Sb 0.5000 0.1901 0.7500
8 Sb 0.5000 0.8099 0.2500
9 H 0.0000 0.1464 0.7500
10 H 0.0000 0.8536 0.2500
11 H 0.5000 0.3536 0.2500
12 H 0.5000 0.6464 0.7500

The 8 most intense peaks (2θ from 5° to 70°), sorted by position:
2θ (°), I (rel.)
24.29, 37
26.74, 100
30.96, 48
32.95, 35
39.66, 32
41.47, 31
61.16, 22
65.47, 24

***

Starting from a cell relaxed with GGA-PBE, the powder XRD pattern of Ca2Sc2Sb2H was simulated for Cu Kα X-rays.

Structure:
abc: 4.4586 4.4586 16.4385
angles: 90.00 90.00 90.00
Sites, in units of the cell vectors:
1 Ca 0.0000 0.0000 0.1732
2 Ca 0.0000 0.0000 0.8268
3 Ca 0.5000 0.5000 0.3268
4 Ca 0.5000 0.5000 0.6732
5 Sc 0.0000 0.5000 0.0000
6 Sc 0.0000 0.5000 0.5000
7 Sc 0.5000 0.0000 0.0000
8 Sc 0.5000 0.0000 0.5000
9 Sb 0.0000 0.0000 0.3715
10 Sb 0.0000 0.0000 0.6285
11 Sb 0.5000 0.5000 0.1285
12 Sb 0.5000 0.5000 0.8715
13 H 0.0000 0.0000 0.0000
14 H 0.5000 0.5000 0.5000

The 8 most intense peaks (2θ from 5° to 70°), sorted by position:
2θ (°), I (rel.)
20.64, 50
21.62, 22
28.31, 42
30.37, 27
33.88, 40
35.90, 100
40.46, 48
53.77, 20

***

Starting from a cell relaxed with GGA-PBE, the powder XRD pattern of CaSc2TlH was simulated for Cu Kα X-rays.

Structure:
abc: 4.6155 4.6155 4.7587
angles: 90.00 90.00 90.00
Sites, in units of the cell vectors:
1 Ca 0.0000 0.0000 0.0000
2 Sc 0.0000 0.5000 0.5000
3 Sc 0.5000 0.0000 0.5000
4 Tl 0.5000 0.5000 0.0000
5 H 0.0000 0.0000 0.5000

The 8 most intense peaks (2θ from 5° to 70°), sorted by position:
2θ (°), I (rel.)
18.65, 20
19.23, 41
26.91, 39
33.29, 100
37.81, 18
39.03, 33
55.47, 23
67.07, 25

***

Starting from a cell relaxed with GGA-PBE, the powder XRD pattern of Ca3SiH was simulated for Cu Kα X-rays.

Structure:
abc: 5.0588 6.8298 7.7585
angles: 90.00 109.06 90.00
Sites, in units of the cell vectors:
1 Ca 0.0501 0.2500 0.1009
2 Ca 0.3276 0.0097 0.6545
3 Ca 0.3276 0.4903 0.6545
4 Ca 0.6724 0.5097 0.3455
5 Ca 0.6724 0.9903 0.3455
6 Ca 0.9499 0.7500 0.8991
7 Si 0.1485 0.7500 0.2978
8 Si 0.8515 0.2500 0.7022
9 H 0.4235 0.7500 0.8448
10 H 0.5765 0.2500 0.1552

The 8 most intense peaks (2θ from 5° to 70°), sorted by position:
2θ (°), I (rel.)
25.34, 70
27.61, 34
28.84, 41
32.21, 100
35.49, 51
36.71, 71
37.82, 30
66.17, 21

***

Starting from a cell relaxed with GGA-PBE, the powder XRD pattern of CaSiH was simulated for Cu Kα X-rays.

Structure:
abc: 8.2580 8.2580 8.2580
angles: 27.22 27.22 27.22
Sites, in units of the cell vectors:
1 Ca 0.1021 0.1021 0.1021
2 Ca 0.8979 0.8979 0.8979
3 Si 0.3502 0.3502 0.3502
4 Si 0.6498 0.6498 0.6498
5 H 0.1995 0.1995 0.1995
6 H 0.8005 0.8005 0.8005

The 8 most intense peaks (2θ from 5° to 70°), sorted by position:
2θ (°), I (rel.)
11.13, 17
30.50, 100
32.57, 40
33.84, 21
37.57, 23
46.75, 44
50.06, 15
58.95, 22

***

Starting from a cell relaxed with GGA-PBE, the powder XRD pattern of CaSm4H10 was simulated for Cu Kα X-rays.

Structure:
abc: 15.7451 15.7451 15.7451
angles: 13.84 13.84 13.84
Sites, in units of the cell vectors:
1 Ca 0.0000 0.0000 0.0000
2 Sm 0.1998 0.1998 0.1998
3 Sm 0.4006 0.4006 0.4006
4 Sm 0.5994 0.5994 0.5994
5 Sm 0.8002 0.8002 0.8002
6 H 0.0508 0.0508 0.0508
7 H 0.1503 0.1503 0.1503
8 H 0.2498 0.2498 0.2498
9 H 0.3514 0.3514 0.3514
10 H 0.4505 0.4505 0.4505
11 H 0.5495 0.5495 0.5495
12 H 0.6486 0.6486 0.6486
13 H 0.7502 0.7502 0.7502
14 H 0.8497 0.8497 0.8497
15 H 0.9492 0.9492 0.9492

The 8 most intense peaks (2θ from 5° to 70°), sorted by position:
2θ (°), I (rel.)
5.67, 33
28.63, 34
28.79, 100
33.32, 65
47.73, 26
47.95, 25
56.60, 15
56.83, 44

***

Starting from a cell relaxed with GGA-PBE, the powder XRD pattern of CaSn2H2 was simulated for Cu Kα X-rays.

Structure:
abc: 6.4468 6.4468 4.5810
angles: 90.00 90.00 90.00
Sites, in units of the cell vectors:
1 Ca 0.0000 0.0000 0.0000
2 Ca 0.5000 0.5000 0.0000
3 Sn 0.1809 0.3191 0.5000
4 Sn 0.3191 0.8191 0.5000
5 Sn 0.6809 0.1809 0.5000
6 Sn 0.8191 0.6809 0.5000
7 H 0.2029 0.2971 0.0000
8 H 0.2971 0.7971 0.0000
9 H 0.7029 0.2029 0.0000
10 H 0.7971 0.7029 0.0000

The 8 most intense peaks (2θ from 5° to 70°), sorted by position:
2θ (°), I (rel.)
19.38, 83
27.64, 54
31.02, 81
34.01, 86
36.84, 100
39.34, 31
50.92, 42
62.80, 37